Entry 1:
# Hf6AsPb2
Simulated PXRD pattern, Cu Ka. Input: a structure optimized by DFT (PBE).
No peak broadening, texture or thermal motion is included.

Largest 12 diffraction maxima, by intensity, 15 to 90 degrees two-theta:
- 2θ = 38.81°, I 100, (1 3 -1)
- 2θ = 30.41°, I 66, (0 2 2)
- 2θ = 34.32°, I 63, (2 1 -1)
- 2θ = 33.15°, I 46, (1 0 -4)
- 2θ = 37.48°, I 43, (0 2 3)
- 2θ = 38.94°, I 40, (2 1 -4)
- 2θ = 38.11°, I 39, (2 1 0)
- 2θ = 34.60°, I 38, (1 1 2)
- 2θ = 34.77°, I 36, (2 1 -3)
- 2θ = 33.98°, I 35, (1 2 1)
- 2θ = 35.27°, I 33, (1 1 -4)
- 2θ = 34.44°, I 32, (1 2 -3)

Structure:
Cell: 5.7900 7.5968 10.8195 Å, 90.00 120.89 90.00°
Element x y z (fractional)
Hf 0.0712 0.1978 0.4524
Hf 0.0712 0.3022 0.9524
Hf 0.3205 0.0227 0.2099
Hf 0.3205 0.4773 0.7099
Hf 0.3222 0.6711 0.4540
Hf 0.3222 0.8289 0.9540
Hf 0.6778 0.1711 0.0460
Hf 0.6778 0.3289 0.5460
Hf 0.6795 0.5227 0.2901
Hf 0.6795 0.9773 0.7901
Hf 0.9288 0.6978 0.0476
Hf 0.9288 0.8022 0.5476
As 0.5000 0.0000 0.5000
As 0.5000 0.5000 0.0000
Pb 0.1572 0.1110 0.7444
Pb 0.1572 0.3890 0.2444
Pb 0.8428 0.6110 0.7556
Pb 0.8428 0.8890 0.2556

Entry 2:
# Mo4Ru3Pt
Simulated PXRD pattern, Cu Ka. Input: a structure optimized by DFT (PBE).
No peak broadening, texture or thermal motion is included.

Largest 12 diffraction maxima, by intensity, 15 to 90 degrees two-theta:
- 2θ = 39.88°, I 100, (3 1 -2)
- 2θ = 46.15°, I 16, (0 2 0)
- 2θ = 46.33°, I 16, (2 0 -4)
- 2θ = 46.68°, I 16, (4 0 0)
- 2θ = 67.77°, I 15, (4 2 0)
- 2θ = 81.47°, I 12, (5 1 -6)
- 2θ = 81.98°, I 12, (7 1 -2)
- 2θ = 86.02°, I 11, (6 2 -4)
- 2θ = 67.46°, I 10, (2 2 -4)
- 2θ = 81.21°, I 6, (3 3 -2)
- 2θ = 81.19°, I 6, (1 3 2)
- 2θ = 67.93°, I 5, (6 0 -4)

Structure:
Cell: 8.7106 3.9341 7.8386 Å, 90.00 116.67 90.00°
Element x y z (fractional)
Mo 0.2470 0.0000 0.1199
Mo 0.2471 0.5000 0.3687
Mo 0.2529 0.0000 0.6313
Mo 0.2530 0.5000 0.8801
Mo 0.7471 0.0000 0.3687
Mo 0.7470 0.5000 0.1199
Mo 0.7530 0.0000 0.8801
Mo 0.7529 0.5000 0.6313
Ru 0.0000 0.5000 0.0000
Ru 0.0013 0.0000 0.2521
Ru 0.4987 0.5000 0.7479
Ru 0.5000 0.0000 0.0000
Ru 0.5013 0.5000 0.2521
Ru 0.9987 0.0000 0.7479
Pt 0.0000 0.5000 0.5000
Pt 0.5000 0.0000 0.5000